Starting from a DFT-relaxed cell (PBE, Alexandria), the PXRD pattern of SrTlBr was computed for CuKα.
Lines closer than 0.1° are merged.

The 12 most intense peaks (2θ = 10–80°), in order of rising 2θ:
2θ/deg, I_rel
21.0, 18
23.7, 45
25.0, 26
28.6, 100
30.6, 19
35.0, 27
36.5, 94
37.5, 30
44.8, 37
47.1, 26
61.0, 24
65.8, 17

```
data_SrTlBr
_cell_length_a 11.060
_cell_length_b 11.060
_cell_length_c 11.060
_cell_angle_alpha 25.69
_cell_angle_beta 25.69
_cell_angle_gamma 25.69
_space_group_name_H-M_alt 'P 1'
_space_group_IT_number 1
loop_
_space_group_symop_operation_xyz
'x,y,z'
loop_
_atom_site_label
_atom_site_fract_x
_atom_site_fract_y
_atom_site_fract_z
Sr1 0.000 0.000 0.000
Sr2 0.154 0.154 0.154
Tl1 0.421 0.421 0.421
Tl2 0.734 0.734 0.734
Br1 0.623 0.623 0.623
Br2 0.864 0.864 0.864
```


Starting from a DFT-relaxed cell (PBE, Alexandria), the PXRD pattern of Sr3Tl5Br12 was computed for CuKα.
Lines closer than 0.1° are merged.

The 12 most intense peaks (2θ = 10–80°), in order of rising 2θ:
2θ/deg, I_rel
19.1, 20
22.8, 48
23.2, 37
27.4, 36
27.8, 100
29.9, 38
32.7, 77
33.3, 25
38.7, 32
38.8, 33
40.0, 21
40.2, 34

```
data_Sr3Tl5Br12
_cell_length_a 13.540
_cell_length_b 13.540
_cell_length_c 4.641
_cell_angle_alpha 90.00
_cell_angle_beta 90.00
_cell_angle_gamma 120.00
_space_group_name_H-M_alt 'P 1'
_space_group_IT_number 1
loop_
_space_group_symop_operation_xyz
'x,y,z'
loop_
_atom_site_label
_atom_site_fract_x
_atom_site_fract_y
_atom_site_fract_z
Sr1 0.000 0.324 0.000
Sr2 0.324 0.000 0.000
Sr3 0.676 0.676 0.000
Tl1 0.000 0.707 0.500
Tl2 0.293 0.293 0.500
Tl3 0.333 0.667 0.500
Tl4 0.667 0.333 0.500
Tl5 0.707 0.000 0.500
Br1 0.000 0.174 0.500
Br2 0.000 0.469 0.500
Br3 0.174 0.000 0.500
Br4 0.191 0.739 0.000
Br5 0.261 0.451 0.000
Br6 0.451 0.261 0.000
Br7 0.469 0.000 0.500
Br8 0.531 0.531 0.500
Br9 0.549 0.809 0.000
Br10 0.739 0.191 0.000
Br11 0.809 0.549 0.000
Br12 0.826 0.826 0.500
```


Starting from a DFT-relaxed cell (PBE, Alexandria), the PXRD pattern of SrTlZnBr5 was computed for CuKα.
Lines closer than 0.1° are merged.

The 12 most intense peaks (2θ = 10–80°), in order of rising 2θ:
2θ/deg, I_rel
18.1, 100
20.0, 65
22.9, 62
25.8, 70
26.4, 77
28.5, 50
28.9, 59
35.0, 49
35.2, 41
36.9, 50
39.9, 39
42.2, 53

```
data_SrTlZnBr5
_cell_length_a 8.042
_cell_length_b 8.042
_cell_length_c 10.761
_cell_angle_alpha 104.44
_cell_angle_beta 104.44
_cell_angle_gamma 105.27
_space_group_name_H-M_alt 'P 1'
_space_group_IT_number 1
loop_
_space_group_symop_operation_xyz
'x,y,z'
loop_
_atom_site_label
_atom_site_fract_x
_atom_site_fract_y
_atom_site_fract_z
Sr1 0.000 0.000 0.000
Sr2 0.000 0.000 0.500
Tl1 0.349 0.651 0.750
Tl2 0.651 0.349 0.250
Zn1 0.318 0.682 0.250
Zn2 0.682 0.318 0.750
Br1 0.084 0.660 0.359
Br2 0.099 0.901 0.750
Br3 0.263 0.399 0.068
Br4 0.340 0.916 0.141
Br5 0.399 0.263 0.568
Br6 0.601 0.737 0.432
Br7 0.660 0.084 0.859
Br8 0.737 0.601 0.932
Br9 0.901 0.099 0.250
Br10 0.916 0.340 0.641
```


Starting from a DFT-relaxed cell (PBE, Alexandria), the PXRD pattern of SrWBr2 was computed for CuKα.
Lines closer than 0.1° are merged.

The 12 most intense peaks (2θ = 10–80°), in order of rising 2θ:
2θ/deg, I_rel
14.5, 16
29.9, 100
34.8, 57
37.6, 46
37.9, 26
42.3, 13
47.4, 17
54.4, 34
60.1, 23
62.2, 12
63.6, 12
68.9, 10

```
data_SrWBr2
_cell_length_a 3.837
_cell_length_b 4.751
_cell_length_c 6.129
_cell_angle_alpha 90.00
_cell_angle_beta 90.00
_cell_angle_gamma 90.00
_space_group_name_H-M_alt 'P 1'
_space_group_IT_number 1
loop_
_space_group_symop_operation_xyz
'x,y,z'
loop_
_atom_site_label
_atom_site_fract_x
_atom_site_fract_y
_atom_site_fract_z
Sr1 0.000 0.000 0.000
W1 0.500 0.500 0.296
Br1 0.000 0.000 0.490
Br2 0.500 0.500 0.824
```